(1)
For Na6Mn2V4O15, a GGA+U-relaxed structure gives the computed powder XRD pattern in this record (a wavelength of 1.5418 Å).
Lines closer than 0.1° are merged.

The 10 most intense peaks (15° ≤ 2θ ≤ 90°), sorted by position:
21.6 deg, d 4.111, I = 61; 23.5 deg, d 3.781, I = 12; 23.8 deg, d 3.736, I = 26; 30.6 deg, d 2.921, I = 17; 30.9 deg, d 2.893, I = 38; 32.4 deg, d 2.764, I = 100; 44.1 deg, d 2.055, I = 39; 48.8 deg, d 1.868, I = 16; 53.9 deg, d 1.701, I = 14; 55.9 deg, d 1.644, I = 19

Cell and atoms:
```
data_Na6Mn2V4O15
_chemical_formula_sum 'Na12 Mn4 V8 O30'
_symmetry_space_group_name_H-M 'P 1'
_symmetry_Int_Tables_number 1
_cell_length_a 7.4715
_cell_length_b 5.7851
_cell_length_c 17.5251
_cell_angle_alpha 90.00
_cell_angle_beta 90.11
_cell_angle_gamma 90.00
loop_
_symmetry_equiv_pos_as_xyz
'x,y,z'
loop_
_atom_site_label
_atom_site_type_symbol
_atom_site_fract_x
_atom_site_fract_y
_atom_site_fract_z
Na1 Na 0.0000 0.2302 0.2500
Na2 Na 0.0000 0.7698 0.7500
Na3 Na 0.0407 0.2891 0.5816
Na4 Na 0.0407 0.7109 0.0816
Na5 Na 0.4977 0.2664 0.9219
Na6 Na 0.4977 0.7336 0.4219
Na7 Na 0.5000 0.2487 0.2500
Na8 Na 0.5000 0.7513 0.7500
Na9 Na 0.5023 0.2664 0.5781
Na10 Na 0.5023 0.7336 0.0781
Na11 Na 0.9593 0.2891 0.9184
Na12 Na 0.9593 0.7109 0.4184
Mn1 Mn 0.2499 0.2419 0.4085
Mn2 Mn 0.2499 0.7581 0.9085
Mn3 Mn 0.7501 0.2419 0.0915
Mn4 Mn 0.7501 0.7581 0.5915
V1 V 0.2380 0.2571 0.7687
V2 V 0.2380 0.7429 0.2687
V3 V 0.2459 0.2449 0.0568
V4 V 0.2459 0.7551 0.5568
V5 V 0.7541 0.2449 0.4432
V6 V 0.7541 0.7551 0.9432
V7 V 0.7620 0.2571 0.7313
V8 V 0.7620 0.7429 0.2313
O1 O 0.0000 0.2470 0.7500
O2 O 0.0000 0.7530 0.2500
O3 O 0.0550 0.2669 0.1148
O4 O 0.0550 0.7331 0.6148
O5 O 0.2290 0.9997 0.4981
O6 O 0.2290 0.0003 0.9981
O7 O 0.2500 0.4898 0.9967
O8 O 0.2500 0.5102 0.4967
O9 O 0.2704 0.4993 0.3237
O10 O 0.2704 0.5007 0.8237
O11 O 0.2777 0.0030 0.8176
O12 O 0.2777 0.9970 0.3176
O13 O 0.3410 0.2740 0.6833
O14 O 0.3410 0.7260 0.1833
O15 O 0.4494 0.2321 0.1030
O16 O 0.4494 0.7679 0.6030
O17 O 0.5506 0.2321 0.3970
O18 O 0.5506 0.7679 0.8970
O19 O 0.6590 0.2740 0.8167
O20 O 0.6590 0.7260 0.3167
O21 O 0.7223 0.0030 0.6824
O22 O 0.7223 0.9970 0.1824
O23 O 0.7296 0.4993 0.1763
O24 O 0.7296 0.5007 0.6763
O25 O 0.7500 0.4898 0.5033
O26 O 0.7500 0.5102 0.0033
O27 O 0.7710 0.9997 0.0019
O28 O 0.7710 0.0003 0.5019
O29 O 0.9450 0.2669 0.3852
O30 O 0.9450 0.7331 0.8852
```



(2)
For MgCo4O8, a GGA+U-relaxed structure gives the computed powder XRD pattern in this record (a wavelength of 1.5418 Å).
Lines closer than 0.1° are merged.

The 10 most intense peaks (15° ≤ 2θ ≤ 90°), sorted by position:
18.3 deg, d 4.836, I = 100; 18.5 deg, d 4.801, I = 32; 34.2 deg, d 2.620, I = 18; 35.0 deg, d 2.564, I = 16; 35.2 deg, d 2.552, I = 14; 37.1 deg, d 2.420, I = 11; 37.5 deg, d 2.401, I = 24; 40.9 deg, d 2.206, I = 31; 42.4 deg, d 2.133, I = 27; 46.4 deg, d 1.955, I = 20

Cell and atoms:
```
data_MgCo4O8
_chemical_formula_sum 'Mg1 Co4 O8'
_symmetry_space_group_name_H-M 'P 1'
_symmetry_Int_Tables_number 1
_cell_length_a 5.7823
_cell_length_b 5.7930
_cell_length_c 5.8791
_cell_angle_alpha 116.88
_cell_angle_beta 116.17
_cell_angle_gamma 94.98
loop_
_symmetry_equiv_pos_as_xyz
'x,y,z'
loop_
_atom_site_label
_atom_site_type_symbol
_atom_site_fract_x
_atom_site_fract_y
_atom_site_fract_z
Mg1 Mg 0.0000 0.0000 0.0000
Co1 Co 0.1228 0.3847 0.7414
Co2 Co 0.6130 0.3725 0.7493
Co3 Co 0.6126 0.8753 0.2500
Co4 Co 0.6373 0.3898 0.2569
O1 O 0.3841 0.6145 0.7685
O2 O 0.3884 0.1776 0.7879
O3 O 0.3901 0.6358 0.2317
O4 O 0.4103 0.1325 0.2754
O5 O 0.8249 0.6399 0.2206
O6 O 0.8569 0.5912 0.7202
O7 O 0.8577 0.1358 0.2715
O8 O 0.8674 0.1532 0.7419
```



Number 2 is which compound?
MgCo4O8